Simulated powder XRD pattern
Compound: Pr2Cu3Sn4Pt
Radiation: Cu Kα (weighted mean of Kα1 and Kα2)
Structure: DFT lattice parameters and positions (GGA-PBE)
No peak broadening, texture or thermal motion is included.

Most intense lines, 10° ≤ 2θ ≤ 90°, by angle:
2theta, I/Imax
31.87, 44
32.62, 100
39.94, 59
44.02, 24
46.77, 20
51.98, 22
57.76, 20
63.15, 16
67.93, 24
83.72, 13

Cell and atoms:
Cell: 4.5143 4.5143 10.7585 Å, 90.00 90.00 90.00°
Sites, in units of the cell vectors:
Pr: 0.0000 0.5000 0.2408
Pr: 0.5000 0.0000 0.7592
Cu: 0.0000 0.0000 0.0000
Cu: 0.0000 0.5000 0.6329
Cu: 0.5000 0.0000 0.3671
Sn: 0.0000 0.0000 0.5000
Sn: 0.0000 0.5000 0.8687
Sn: 0.5000 0.0000 0.1313
Sn: 0.5000 0.5000 0.5000
Pt: 0.5000 0.5000 0.0000



Simulated powder XRD pattern
Compound: Pu2Tc5C4
Radiation: Cu Kα (weighted mean of Kα1 and Kα2)
Structure: DFT lattice parameters and positions (GGA-PBE)
No peak broadening, texture or thermal motion is included.

Most intense lines, 10° ≤ 2θ ≤ 90°, by angle:
2theta, I/Imax
20.40, 25
31.05, 100
35.07, 60
37.49, 52
37.86, 100
40.01, 62
47.65, 30
54.24, 23
60.52, 25
64.75, 32

Cell and atoms:
Cell: 7.4627 6.0578 5.7785 Å, 78.13 52.60 49.27°
Sites, in units of the cell vectors:
Pu: 0.1480 0.1480 0.8520
Pu: 0.8520 0.8520 0.1480
Tc: 0.0000 0.0000 0.5000
Tc: 0.2500 0.2500 0.2500
Tc: 0.5000 0.5000 0.0000
Tc: 0.5000 0.5000 0.5000
Tc: 0.7500 0.7500 0.7500
C: 0.2102 0.5191 0.4809
C: 0.4809 0.7898 0.2102
C: 0.5191 0.2102 0.7898
C: 0.7898 0.4809 0.5191



Simulated powder XRD pattern
Compound: Ag2TeO4
Radiation: Cu Kα (weighted mean of Kα1 and Kα2)
Structure: DFT lattice parameters and positions (GGA-PBE)
No peak broadening, texture or thermal motion is included.

Most intense lines, 10° ≤ 2θ ≤ 90°, by angle:
2theta, I/Imax
27.54, 43
28.26, 100
31.13, 69
34.50, 38
44.70, 31
49.50, 20
50.99, 21
53.64, 15
57.25, 14
64.01, 13

Cell and atoms:
Cell: 6.5126 6.5126 8.6016 Å, 124.93 124.93 58.97°
Sites, in units of the cell vectors:
Ag: 0.0587 0.3085 0.2500
Ag: 0.3085 0.0587 0.7500
Ag: 0.6915 0.9413 0.2500
Ag: 0.9413 0.6915 0.7500
Te: 0.3752 0.6248 0.2500
Te: 0.6248 0.3752 0.7500
O: 0.1944 0.7664 0.4125
O: 0.2336 0.8056 0.0875
O: 0.2818 0.3545 0.5879
O: 0.3545 0.2818 0.0879
O: 0.6455 0.7182 0.9121
O: 0.7182 0.6455 0.4121
O: 0.7664 0.1944 0.9125
O: 0.8056 0.2336 0.5875



Simulated powder XRD pattern
Compound: Mg3HIr5
Radiation: Cu Kα (weighted mean of Kα1 and Kα2)
Structure: DFT lattice parameters and positions (GGA-PBE)
No peak broadening, texture or thermal motion is included.

Most intense lines, 10° ≤ 2θ ≤ 90°, by angle:
2theta, I/Imax
20.63, 19
20.73, 64
34.90, 16
36.96, 22
37.08, 18
39.92, 50
41.99, 100
42.17, 39
42.38, 33
42.60, 30

Cell and atoms:
Cell: 5.2905 5.3499 5.5987 Å, 105.81 104.50 116.23°
Sites, in units of the cell vectors:
Mg: 0.0000 0.0000 0.0000
Mg: 0.0279 0.0322 0.5227
Mg: 0.9418 0.4582 0.3516
H: 0.4708 0.1977 0.1802
Ir: 0.4404 0.9318 0.8478
Ir: 0.4492 0.9350 0.3559
Ir: 0.4901 0.5150 0.0046
Ir: 0.4985 0.5126 0.5047
Ir: 0.9226 0.4441 0.8492



Simulated powder XRD pattern
Compound: TiAl3S6
Radiation: Cu Kα (weighted mean of Kα1 and Kα2)
Structure: DFT lattice parameters and positions (GGA-PBE)
No peak broadening, texture or thermal motion is included.

Most intense lines, 10° ≤ 2θ ≤ 90°, by angle:
2theta, I/Imax
17.38, 19
21.32, 25
24.68, 25
27.65, 17
30.35, 59
39.50, 100
47.14, 73
57.08, 22
60.16, 17
66.05, 13

Cell and atoms:
Cell: 7.2146 7.2146 7.2146 Å, 89.94 89.94 89.94°
Sites, in units of the cell vectors:
Ti: 0.0000 0.0000 0.0000
Ti: 0.5000 0.5000 0.5000
Al: 0.0713 0.5716 0.2374
Al: 0.2374 0.0713 0.5716
Al: 0.4284 0.7626 0.9287
Al: 0.5716 0.2374 0.0713
Al: 0.7626 0.9287 0.4284
Al: 0.9287 0.4284 0.7626
S: 0.0808 0.6855 0.9119
S: 0.0881 0.9191 0.3145
S: 0.1828 0.3906 0.5486
S: 0.3145 0.0881 0.9192
S: 0.3906 0.5486 0.1828
S: 0.4514 0.8172 0.6094
S: 0.5486 0.1828 0.3906
S: 0.6094 0.4514 0.8172
S: 0.6855 0.9119 0.0808
S: 0.8172 0.6094 0.4514
S: 0.9119 0.0808 0.6855
S: 0.9192 0.3145 0.0881



Simulated powder XRD pattern
Compound: PuAl2GaGe
Radiation: Cu Kα (weighted mean of Kα1 and Kα2)
Structure: DFT lattice parameters and positions (GGA-PBE)
No peak broadening, texture or thermal motion is included.

Most intense lines, 10° ≤ 2θ ≤ 90°, by angle:
2theta, I/Imax
17.09, 43
20.60, 47
24.91, 42
30.79, 100
35.04, 84
36.15, 47
38.82, 37
39.58, 50
42.61, 33
46.28, 28

Cell and atoms:
Cell: 5.6068 5.6068 8.6224 Å, 90.00 90.00 135.53°
Sites, in units of the cell vectors:
Pu: 0.0634 0.9366 0.7500
Pu: 0.9366 0.0634 0.2500
Al: 0.2283 0.7717 0.0889
Al: 0.2283 0.7717 0.4111
Al: 0.7717 0.2283 0.5889
Al: 0.7717 0.2283 0.9111
Ga: 0.3487 0.6513 0.7500
Ga: 0.6513 0.3487 0.2500
Ge: 0.5000 0.5000 0.0000
Ge: 0.5000 0.5000 0.5000



Simulated powder XRD pattern
Compound: Pr5In2Bi2
Radiation: Cu Kα (weighted mean of Kα1 and Kα2)
Structure: DFT lattice parameters and positions (GGA-PBE)
No peak broadening, texture or thermal motion is included.

Most intense lines, 10° ≤ 2θ ≤ 90°, by angle:
2theta, I/Imax
28.51, 71
29.59, 61
30.18, 83
30.97, 48
31.98, 58
32.68, 21
33.64, 100
41.25, 21
43.36, 52
60.59, 24

Cell and atoms:
Cell: 9.2659 9.2659 8.5238 Å, 90.00 90.00 54.97°
Sites, in units of the cell vectors:
Pr: 0.0000 0.0000 0.0000
Pr: 0.0371 0.6892 0.6691
Pr: 0.1892 0.5371 0.1691
Pr: 0.3108 0.9629 0.6691
Pr: 0.4629 0.8108 0.1691
Pr: 0.5000 0.5000 0.5000
Pr: 0.5371 0.1892 0.8309
Pr: 0.6892 0.0371 0.3309
Pr: 0.8108 0.4629 0.8309
Pr: 0.9629 0.3108 0.3309
In: 0.1243 0.8757 0.3770
In: 0.3757 0.6243 0.8770
In: 0.6243 0.3757 0.1230
In: 0.8757 0.1243 0.6230
Bi: 0.2042 0.2042 0.0000
Bi: 0.2958 0.2958 0.5000
Bi: 0.7042 0.7042 0.5000
Bi: 0.7958 0.7958 0.0000



Simulated powder XRD pattern
Compound: Pr3Y4Ho3
Radiation: Cu Kα (weighted mean of Kα1 and Kα2)
Structure: DFT lattice parameters and positions (GGA-PBE)
No peak broadening, texture or thermal motion is included.

Most intense lines, 10° ≤ 2θ ≤ 90°, by angle:
2theta, I/Imax
26.37, 11
26.56, 12
27.47, 11
29.59, 39
29.72, 39
30.56, 53
32.01, 100
49.17, 14
54.98, 11
58.47, 23

Cell and atoms:
Cell: 3.7067 9.5258 9.5258 Å, 89.61 90.00 90.00°
Sites, in units of the cell vectors:
Pr: 0.0000 0.0000 0.0000
Pr: 0.0000 0.4984 0.8469
Pr: 0.0000 0.8469 0.4984
Y: 0.5000 0.0520 0.3010
Y: 0.5000 0.3010 0.0520
Y: 0.5000 0.5460 0.5460
Y: 0.5000 0.7988 0.7988
Ho: 0.0000 0.3475 0.3475
Ho: 0.5000 0.1757 0.6665
Ho: 0.5000 0.6665 0.1757



Simulated powder XRD pattern
Compound: ScIn2Pd9
Radiation: Cu Kα (weighted mean of Kα1 and Kα2)
Structure: DFT lattice parameters and positions (GGA-PBE)
No peak broadening, texture or thermal motion is included.

Most intense lines, 10° ≤ 2θ ≤ 90°, by angle:
2theta, I/Imax
23.31, 1
37.10, 1
38.71, 100
44.81, 16
45.10, 32
65.46, 20
65.68, 10
78.50, 12
78.92, 24
83.03, 10

Cell and atoms:
Cell: 4.0208 4.0208 12.1367 Å, 90.00 90.00 90.00°
Sites, in units of the cell vectors:
Sc: 0.0000 0.0000 0.0000
In: 0.0000 0.0000 0.3346
In: 0.0000 0.0000 0.6654
Pd: 0.0000 0.5000 0.1643
Pd: 0.0000 0.5000 0.5000
Pd: 0.0000 0.5000 0.8357
Pd: 0.5000 0.0000 0.1643
Pd: 0.5000 0.0000 0.5000
Pd: 0.5000 0.0000 0.8357
Pd: 0.5000 0.5000 0.0000
Pd: 0.5000 0.5000 0.3309
Pd: 0.5000 0.5000 0.6691



Simulated powder XRD pattern
Compound: Rb3Pt2Se4
Radiation: Cu Kα (weighted mean of Kα1 and Kα2)
Structure: DFT lattice parameters and positions (GGA-PBE)
No peak broadening, texture or thermal motion is included.

Most intense lines, 10° ≤ 2θ ≤ 90°, by angle:
2theta, I/Imax
15.50, 100
18.36, 37
25.11, 41
25.82, 63
27.68, 30
29.25, 36
33.01, 66
44.00, 32
44.12, 39
44.71, 35

Cell and atoms:
Cell: 10.9417 10.9417 10.9417 Å, 143.23 68.57 124.36°
Sites, in units of the cell vectors:
Rb: 0.1396 0.3896 0.7500
Rb: 0.1534 0.0593 0.0941
Rb: 0.4652 0.0593 0.4059
Rb: 0.5348 0.9407 0.5941
Rb: 0.8466 0.9407 0.9059
Rb: 0.8604 0.6104 0.2500
Pt: 0.0799 0.6166 0.4634
Pt: 0.3468 0.3834 0.9634
Pt: 0.6532 0.6166 0.0366
Pt: 0.9201 0.3834 0.5366
Se: 0.1466 0.0000 0.6466
Se: 0.1466 0.5000 0.1466
Se: 0.2028 0.6033 0.5995
Se: 0.4963 0.3967 0.0995
Se: 0.5037 0.6033 0.9005
Se: 0.7972 0.3967 0.4005
Se: 0.8534 0.0000 0.3534
Se: 0.8534 0.5000 0.8534



Simulated powder XRD pattern
Compound: NaHg4Pb
Radiation: Cu Kα (weighted mean of Kα1 and Kα2)
Structure: DFT lattice parameters and positions (GGA-PBE)
No peak broadening, texture or thermal motion is included.

Most intense lines, 10° ≤ 2θ ≤ 90°, by angle:
2theta, I/Imax
31.71, 31
33.91, 26
34.32, 100
47.11, 21
58.17, 22
60.95, 20
61.73, 9
63.08, 9
72.33, 12
79.21, 10

Cell and atoms:
Cell: 5.6440 10.6527 5.2866 Å, 90.00 90.00 90.00°
Sites, in units of the cell vectors:
Na: 0.0000 0.0000 0.0000
Na: 0.5000 0.5000 0.0000
Hg: 0.0000 0.1671 0.5000
Hg: 0.0000 0.3243 0.0000
Hg: 0.0000 0.6757 0.0000
Hg: 0.0000 0.8329 0.5000
Hg: 0.5000 0.1757 0.0000
Hg: 0.5000 0.3329 0.5000
Hg: 0.5000 0.6671 0.5000
Hg: 0.5000 0.8243 0.0000
Pb: 0.0000 0.5000 0.5000
Pb: 0.5000 0.0000 0.5000



Simulated powder XRD pattern
Compound: Mn3V7Cr2
Radiation: Cu Kα (weighted mean of Kα1 and Kα2)
Structure: DFT lattice parameters and positions (GGA-PBE)
No peak broadening, texture or thermal motion is included.

Most intense lines, 10° ≤ 2θ ≤ 90°, by angle:
2theta, I/Imax
24.27, 7
38.73, 7
43.73, 28
44.84, 100
46.06, 23
65.18, 7
65.39, 15
81.13, 15
81.82, 7
84.44, 13

Cell and atoms:
Cell: 10.2300 10.2300 3.9412 Å, 90.00 90.00 156.65°
Sites, in units of the cell vectors:
Mn: 0.0000 0.0000 0.0000
Mn: 0.1460 0.8540 0.0000
Mn: 0.8540 0.1460 0.0000
V: 0.0735 0.9265 0.5000
V: 0.2131 0.7869 0.5000
V: 0.4238 0.5762 0.0000
V: 0.5000 0.5000 0.5000
V: 0.5762 0.4238 0.0000
V: 0.7869 0.2131 0.5000
V: 0.9265 0.0735 0.5000
Cr: 0.3526 0.6474 0.5000
Cr: 0.6474 0.3526 0.5000